Entry 1:
Diffraction record for TmMn6Sn6. The X-ray powder pattern is simulated, not measured: it uses a cell relaxed with PBE and λ = 1.5418 Å (Cu Kα).
No peak broadening, texture or thermal motion is included.

Structural model:
```
TmMn6Sn6
1.0
5.443 0.000 0.000
-2.721 4.714 0.000
0.000 0.000 8.985
Tm Mn Sn
1 6 6
Direct
0.000 0.000 0.000 Tm
0.000 0.500 0.248 Mn
0.000 0.500 0.752 Mn
0.500 0.000 0.248 Mn
0.500 0.000 0.752 Mn
0.500 0.500 0.248 Mn
0.500 0.500 0.752 Mn
0.000 0.000 0.332 Sn
0.000 0.000 0.668 Sn
0.333 0.667 0.000 Sn
0.333 0.667 0.500 Sn
0.667 0.333 0.000 Sn
0.667 0.333 0.500 Sn
```

Peak list (12 most intense, 2θ = 10–80°, by angle)
- 2θ 32.9, I 100.0
- 2θ 35.5, I 45.8
- 2θ 38.2, I 27.5
- 2θ 38.7, I 86.8
- 2θ 40.1, I 24.0
- 2θ 43.4, I 43.1
- 2θ 45.0, I 23.8
- 2θ 58.8, I 20.2
- 2θ 60.5, I 20.2
- 2θ 62.6, I 21.2
- 2θ 69.0, I 29.0
- 2θ 72.0, I 35.8

Entry 2:
Diffraction record for TiZnPd2. The X-ray powder pattern is simulated, not measured: it uses a cell relaxed with PBE and λ = 1.5418 Å (Cu Kα).
No peak broadening, texture or thermal motion is included.

Structural model:
```
TiZnPd2
1.0
0.000 3.118 3.118
3.118 0.000 3.118
3.118 3.118 0.000
Ti Zn Pd
1 1 2
Direct
0.000 0.000 0.000 Ti
0.500 0.500 0.500 Zn
0.250 0.250 0.250 Pd
0.750 0.750 0.750 Pd
```

Peak list (8 most intense, 2θ = 10–80°, by angle)
- 2θ 24.7, I 1.2
- 2θ 28.6, I 11.2
- 2θ 40.9, I 100.0
- 2θ 48.4, I 0.7
- 2θ 50.7, I 3.2
- 2θ 59.3, I 16.1
- 2θ 67.1, I 4.2
- 2θ 74.5, I 31.8

Entry 3:
Diffraction record for K3AsSe3. The X-ray powder pattern is simulated, not measured: it uses a cell relaxed with PBE and λ = 1.5418 Å (Cu Kα).
No peak broadening, texture or thermal motion is included.

Structural model:
```
K3AsSe3
1.0
9.905 0.000 0.000
0.000 9.905 0.000
0.000 0.000 9.905
K As Se
12 4 12
Direct
0.080 0.080 0.080 K
0.184 0.316 0.684 K
0.187 0.687 0.813 K
0.313 0.313 0.313 K
0.316 0.684 0.184 K
0.420 0.920 0.580 K
0.580 0.420 0.920 K
0.684 0.184 0.316 K
0.687 0.813 0.187 K
0.813 0.187 0.687 K
0.816 0.816 0.816 K
0.920 0.580 0.420 K
0.022 0.978 0.478 As
0.478 0.022 0.978 As
0.522 0.522 0.522 As
0.978 0.478 0.022 As
0.005 0.211 0.402 Se
0.098 0.995 0.711 Se
0.211 0.402 0.005 Se
0.289 0.598 0.505 Se
0.402 0.005 0.211 Se
0.495 0.789 0.902 Se
0.505 0.289 0.598 Se
0.598 0.505 0.289 Se
0.711 0.098 0.995 Se
0.789 0.902 0.495 Se
0.902 0.495 0.789 Se
0.995 0.711 0.098 Se
```

Peak list (12 most intense, 2θ = 10–80°, by angle)
- 2θ 15.5, I 39.7
- 2θ 17.9, I 13.3
- 2θ 22.0, I 30.4
- 2θ 28.5, I 100.0
- 2θ 33.9, I 50.5
- 2θ 37.4, I 13.1
- 2θ 40.7, I 21.6
- 2θ 44.8, I 13.1
- 2θ 46.8, I 21.4
- 2θ 47.7, I 17.2
- 2θ 54.8, I 13.6
- 2θ 57.3, I 15.6

Entry 4:
Diffraction record for Li3B2SbO6. The X-ray powder pattern is simulated, not measured: it uses a cell relaxed with PBE and λ = 1.5418 Å (Cu Kα).
No peak broadening, texture or thermal motion is included.

Structural model:
```
Li3B2SbO6
1.0
4.901 0.000 0.000
0.557 7.519 0.000
0.622 3.510 7.571
Li B Sb O
6 4 2 12
Direct
0.192 0.262 0.132 Li
0.204 0.549 0.764 Li
0.304 0.419 0.435 Li
0.696 0.581 0.565 Li
0.796 0.451 0.236 Li
0.808 0.738 0.868 Li
0.184 0.814 0.401 B
0.324 0.631 0.066 B
0.676 0.369 0.934 B
0.816 0.186 0.599 B
0.291 0.034 0.831 Sb
0.709 0.966 0.169 Sb
0.107 0.167 0.599 O
0.185 0.484 0.194 O
0.211 0.742 0.893 O
0.309 0.650 0.514 O
0.322 0.977 0.272 O
0.425 0.313 0.914 O
0.575 0.687 0.086 O
0.678 0.023 0.728 O
0.691 0.350 0.486 O
0.789 0.258 0.107 O
0.815 0.516 0.806 O
0.893 0.833 0.401 O
```

Peak list (12 most intense, 2θ = 10–80°, by angle)
- 2θ 11.7, I 51.9
- 2θ 13.0, I 100.0
- 2θ 13.3, I 51.7
- 2θ 21.6, I 32.6
- 2θ 22.1, I 44.5
- 2θ 23.5, I 46.1
- 2θ 23.7, I 32.5
- 2θ 26.8, I 24.3
- 2θ 27.1, I 36.2
- 2θ 27.8, I 46.3
- 2θ 29.4, I 29.7
- 2θ 36.3, I 24.9

Entry 5:
Diffraction record for Nb2Al. The X-ray powder pattern is simulated, not measured: it uses a cell relaxed with PBE and λ = 1.5418 Å (Cu Kα).
No peak broadening, texture or thermal motion is included.

Structural model:
```
Nb2Al
1.0
10.002 0.000 0.000
0.000 10.002 0.000
0.000 0.000 5.202
Nb Al
20 10
Direct
0.035 0.372 0.000 Nb
0.103 0.103 0.000 Nb
0.128 0.535 0.500 Nb
0.182 0.818 0.248 Nb
0.182 0.818 0.752 Nb
0.318 0.318 0.252 Nb
0.318 0.318 0.748 Nb
0.372 0.035 0.000 Nb
0.397 0.603 0.500 Nb
0.465 0.872 0.500 Nb
0.535 0.128 0.500 Nb
0.603 0.397 0.500 Nb
0.628 0.965 0.000 Nb
0.682 0.682 0.252 Nb
0.682 0.682 0.748 Nb
0.818 0.182 0.248 Nb
0.818 0.182 0.752 Nb
0.872 0.465 0.500 Nb
0.897 0.897 0.000 Nb
0.965 0.628 0.000 Nb
0.000 0.000 0.500 Al
0.067 0.262 0.500 Al
0.238 0.567 0.000 Al
0.262 0.067 0.500 Al
0.433 0.762 0.000 Al
0.500 0.500 0.000 Al
0.567 0.238 0.000 Al
0.738 0.933 0.500 Al
0.762 0.433 0.000 Al
0.933 0.738 0.500 Al
```

Peak list (12 most intense, 2θ = 10–80°, by angle)
- 2θ 19.2, I 28.7
- 2θ 33.1, I 29.6
- 2θ 37.1, I 97.2
- 2θ 38.2, I 55.3
- 2θ 39.0, I 58.1
- 2θ 40.1, I 86.7
- 2θ 41.1, I 100.0
- 2θ 42.1, I 36.5
- 2θ 61.3, I 24.7
- 2θ 65.1, I 34.4
- 2θ 66.3, I 23.3
- 2θ 68.3, I 26.2

Entry 6:
Diffraction record for Eu3O4. The X-ray powder pattern is simulated, not measured: it uses a cell relaxed with PBE and λ = 1.5418 Å (Cu Kα).
No peak broadening, texture or thermal motion is included.

Structural model:
```
Eu3O4
1.0
10.134 0.000 0.000
0.000 3.492 0.000
0.000 0.000 12.282
Eu O
12 16
Direct
0.076 0.250 0.112 Eu
0.082 0.250 0.613 Eu
0.243 0.250 0.851 Eu
0.257 0.750 0.351 Eu
0.418 0.750 0.113 Eu
0.424 0.750 0.612 Eu
0.576 0.250 0.388 Eu
0.582 0.250 0.887 Eu
0.743 0.250 0.649 Eu
0.757 0.750 0.149 Eu
0.918 0.750 0.387 Eu
0.924 0.750 0.888 Eu
0.008 0.250 0.792 O
0.079 0.250 0.416 O
0.139 0.750 0.977 O
0.222 0.750 0.699 O
0.278 0.250 0.199 O
0.361 0.250 0.477 O
0.421 0.750 0.916 O
0.492 0.750 0.292 O
0.508 0.250 0.708 O
0.579 0.250 0.084 O
0.639 0.750 0.523 O
0.722 0.750 0.801 O
0.778 0.250 0.301 O
0.861 0.250 0.023 O
0.921 0.750 0.584 O
0.992 0.750 0.208 O
```

Peak list (12 most intense, 2θ = 10–80°, by angle)
- 2θ 29.1, I 50.0
- 2θ 30.2, I 100.0
- 2θ 30.7, I 62.3
- 2θ 31.1, I 36.7
- 2θ 34.9, I 21.8
- 2θ 43.1, I 32.9
- 2θ 44.2, I 16.4
- 2θ 52.3, I 18.2
- 2θ 52.4, I 16.3
- 2θ 54.4, I 16.5
- 2θ 61.1, I 16.9
- 2θ 61.7, I 27.0

Entry 7:
Diffraction record for MgAl4Cu2O8. The X-ray powder pattern is simulated, not measured: it uses a cell relaxed with PBE and λ = 1.5418 Å (Cu Kα).
No peak broadening, texture or thermal motion is included.

Structural model:
```
MgAl4Cu2O8
1.0
5.747 0.000 0.000
-0.061 5.960 0.000
-2.812 -2.984 4.397
Mg Al Cu O
1 4 2 8
Direct
0.000 0.000 0.000 Mg
0.300 0.307 0.615 Al
0.620 0.375 0.259 Al
0.626 0.883 0.261 Al
0.969 0.475 0.951 Al
0.111 0.804 0.612 Cu
0.506 0.810 0.625 Cu
0.354 0.596 0.194 O
0.403 0.158 0.315 O
0.407 0.165 0.835 O
0.412 0.669 0.837 O
0.820 0.594 0.192 O
0.847 0.110 0.711 O
0.851 0.600 0.712 O
0.902 0.154 0.312 O
```

Peak list (12 most intense, 2θ = 10–80°, by angle)
- 2θ 18.0, I 100.0
- 2θ 20.2, I 37.7
- 2θ 30.0, I 46.8
- 2θ 34.1, I 40.4
- 2θ 34.4, I 26.7
- 2θ 35.3, I 39.0
- 2θ 35.6, I 37.3
- 2θ 36.4, I 33.7
- 2θ 43.5, I 25.2
- 2θ 44.0, I 24.2
- 2θ 51.7, I 28.8
- 2θ 62.3, I 28.3